# 1
Structure and computed powder diffractogram of Sc3TaTe (a DFT-relaxed cell (PBE, Alexandria); Cu Kα).
Neutral-atom scattering factors, no anomalous dispersion.

Cell and atoms:
a = 5.1542 Å, b = 5.1542 Å, c = 5.1542 Å
α = 90.00°, β = 90.00°, γ = 90.00°
Sites, in units of the cell vectors:
Sc: 0.0000 0.0000 0.5000
Sc: 0.0000 0.5000 0.0000
Sc: 0.5000 0.0000 0.0000
Ta: 0.0000 0.0000 0.0000
Te: 0.5000 0.5000 0.5000

Main lines, sorted by position (10 to 90 degrees two-theta):
24.4 deg, 3.645 Å, I 100
34.8 deg, 2.577 Å, I 58
43.0 deg, 2.104 Å, I 46
50.1 deg, 1.822 Å, I 41
56.5 deg, 1.630 Å, I 21
68.1 deg, 1.378 Å, I 24


# 2
Structure and computed powder diffractogram of SmY2ScTe4 (a DFT-relaxed cell (PBE, Alexandria); Cu Kα).
Neutral-atom scattering factors, no anomalous dispersion.

Cell and atoms:
a = 7.5087 Å, b = 4.3072 Å, c = 7.5771 Å
α = 90.00°, β = 109.04°, γ = 90.00°
Sites, in units of the cell vectors:
Sm: 0.0000 0.0000 0.0000
Y: 0.5000 0.0000 0.5000
Y: 0.5000 0.5000 0.0000
Sc: 0.0000 0.5000 0.5000
Te: 0.2421 0.0000 0.7377
Te: 0.2493 0.5000 0.2596
Te: 0.7507 0.5000 0.7404
Te: 0.7579 0.0000 0.2623

Main lines, sorted by position (10 to 90 degrees two-theta):
29.1 deg, 3.071 Å, I 100
41.2 deg, 2.189 Å, I 13
41.4 deg, 2.179 Å, I 25
41.7 deg, 2.164 Å, I 25
42.0 deg, 2.154 Å, I 12
51.9 deg, 1.763 Å, I 13


# 3
Structure and computed powder diffractogram of KAlCdH6 (a DFT-relaxed cell (PBE, Alexandria); Cu Kα).
Neutral-atom scattering factors, no anomalous dispersion.

Cell and atoms:
a = 5.0366 Å, b = 5.0366 Å, c = 5.6066 Å
α = 90.00°, β = 90.00°, γ = 120.00°
Sites, in units of the cell vectors:
K: 0.0000 0.0000 0.0000
Al: 0.6667 0.3333 0.5000
Cd: 0.3333 0.6667 0.5000
H: 0.3886 0.0399 0.6841
H: 0.3886 0.3487 0.3159
H: 0.6513 0.0399 0.3159
H: 0.6513 0.6114 0.6841
H: 0.9601 0.3487 0.6841
H: 0.9601 0.6114 0.3159

Main lines, sorted by position (10 to 90 degrees two-theta):
15.8 deg, 5.607 Å, I 32
20.4 deg, 4.362 Å, I 30
25.9 deg, 3.443 Å, I 100
35.7 deg, 2.518 Å, I 37
44.6 deg, 2.033 Å, I 22
48.6 deg, 1.873 Å, I 31


# 4
Structure and computed powder diffractogram of NaPmSn3 (a DFT-relaxed cell (PBE, Alexandria); Cu Kα).
Neutral-atom scattering factors, no anomalous dispersion.

Cell and atoms:
a = 16.0976 Å, b = 16.0976 Å, c = 5.0139 Å
α = 90.00°, β = 90.00°, γ = 167.65°
Sites, in units of the cell vectors:
Na: 0.2183 0.7817 0.7500
Na: 0.7817 0.2183 0.2500
Pm: 0.0790 0.9210 0.2500
Pm: 0.9210 0.0790 0.7500
Sn: 0.3224 0.6776 0.7500
Sn: 0.3755 0.6245 0.2500
Sn: 0.4726 0.5274 0.2500
Sn: 0.5274 0.4726 0.7500
Sn: 0.6245 0.3755 0.7500
Sn: 0.6776 0.3224 0.2500

Main lines, sorted by position (10 to 90 degrees two-theta):
11.1 deg, 8.002 Å, I 19
32.5 deg, 2.755 Å, I 100
33.2 deg, 2.698 Å, I 83
35.8 deg, 2.507 Å, I 35
49.1 deg, 1.856 Å, I 18
63.9 deg, 1.457 Å, I 26


# 5
Structure and computed powder diffractogram of Li6AlGa12 (a DFT-relaxed cell (PBE, Alexandria); Cu Kα).
Neutral-atom scattering factors, no anomalous dispersion.

Cell and atoms:
a = 6.8917 Å, b = 6.8917 Å, c = 6.8917 Å
α = 92.07°, β = 92.07°, γ = 92.07°
Sites, in units of the cell vectors:
Li: 0.2218 0.7671 0.3851
Li: 0.2329 0.6149 0.7782
Li: 0.3851 0.2218 0.7671
Li: 0.6149 0.7782 0.2329
Li: 0.7671 0.3851 0.2218
Li: 0.7782 0.2329 0.6149
Al: 0.5000 0.5000 0.5000
Ga: 0.0401 0.2878 0.9510
Ga: 0.0490 0.9600 0.7122
Ga: 0.1281 0.3552 0.4601
Ga: 0.2878 0.9510 0.0400
Ga: 0.3552 0.4601 0.1281
Ga: 0.4601 0.1281 0.3552
Ga: 0.5399 0.8719 0.6448
Ga: 0.6448 0.5399 0.8719
Ga: 0.7122 0.0490 0.9599
Ga: 0.8719 0.6448 0.5399
Ga: 0.9510 0.0401 0.2878
Ga: 0.9600 0.7122 0.0490

Main lines, sorted by position (10 to 90 degrees two-theta):
28.6 deg, 3.125 Å, I 100
38.6 deg, 2.333 Å, I 82
39.3 deg, 2.294 Å, I 68
40.6 deg, 2.221 Å, I 76
41.0 deg, 2.201 Å, I 67
42.0 deg, 2.152 Å, I 64


# 6
Structure and computed powder diffractogram of V5Si6W5 (a DFT-relaxed cell (PBE, Alexandria); Cu Kα).
Neutral-atom scattering factors, no anomalous dispersion.

Cell and atoms:
a = 4.8672 Å, b = 7.2034 Å, c = 7.2034 Å
α = 119.92°, β = 90.00°, γ = 90.00°
Sites, in units of the cell vectors:
V: 0.0000 0.0000 0.0000
V: 0.2488 0.5740 0.9081
V: 0.2488 0.9081 0.5740
V: 0.7512 0.5740 0.9081
V: 0.7512 0.9081 0.5740
Si: 0.0000 0.2383 0.8414
Si: 0.0000 0.6492 0.6492
Si: 0.0000 0.8414 0.2383
Si: 0.5000 0.2414 0.6450
Si: 0.5000 0.6450 0.2414
Si: 0.5000 0.8394 0.8394
W: 0.0000 0.2432 0.4831
W: 0.0000 0.4831 0.2432
W: 0.5000 0.0014 0.2400
W: 0.5000 0.2400 0.0014
W: 0.5000 0.4817 0.4817

Main lines, sorted by position (10 to 90 degrees two-theta):
14.2 deg, 6.242 Å, I 38
30.9 deg, 2.896 Å, I 50
38.2 deg, 2.359 Å, I 28
42.6 deg, 2.123 Å, I 100
45.0 deg, 2.017 Å, I 24
70.4 deg, 1.337 Å, I 23